Starting from a GGA+U-relaxed structure, the powder X-ray diffraction pattern of LiCr2O4 was simulated for CuKα.
Lines closer than 0.1° are merged.

Cell and atoms:
```
data_LiCr2O4
_cell_length_a 5.864
_cell_length_b 6.008
_cell_length_c 8.418
_cell_angle_alpha 90.00
_cell_angle_beta 90.00
_cell_angle_gamma 90.00
_space_group_name_H-M_alt 'I m m a'
_space_group_IT_number 74
_space_group_name_Hall '-I 2b 2'
loop_
_atom_site_label
_atom_site_fract_x
_atom_site_fract_y
_atom_site_fract_z
Li1 0.000 0.000 0.000
Cr1 0.000 0.000 0.500
Cr2 0.250 0.250 0.250
O1 0.000 0.036 0.259
O2 0.233 0.250 0.481
```

The 10 most intense peaks (2θ = 5–70°), low angle first:
- d 4.890, 18.14 deg, intensity 100, (0 1 1)
- d 4.812, 18.44 deg, intensity 65, (1 0 1)
- d 2.546, 35.25 deg, intensity 28, (0 1 3)
- d 2.531, 35.47 deg, intensity 9, (1 0 3)
- d 2.515, 35.71 deg, intensity 20, (2 1 1)
- d 2.445, 36.76 deg, intensity 9, (0 2 2)
- d 2.105, 42.98 deg, intensity 33, (0 0 4)
- d 2.098, 43.11 deg, intensity 65, (2 2 0)
- d 1.622, 56.75 deg, intensity 15, (0 1 5)
- d 1.486, 62.51 deg, intensity 34, (2 2 4)



Starting from a GGA+U-relaxed structure, the powder X-ray diffraction pattern of Li7Mn5O12 was simulated for CuKα.
Lines closer than 0.1° are merged.

Cell and atoms:
```
data_Li7Mn5O12
_cell_length_a 22.457
_cell_length_b 2.872
_cell_length_c 15.222
_cell_angle_alpha 90.00
_cell_angle_beta 114.71
_cell_angle_gamma 90.00
_space_group_name_H-M_alt 'C 1 2/m 1'
_space_group_IT_number 12
_space_group_name_Hall '-C 2y'
loop_
_atom_site_label
_atom_site_fract_x
_atom_site_fract_y
_atom_site_fract_z
Li1 0.053 0.000 0.206
Li2 0.053 0.500 0.707
Li3 0.142 0.000 0.627
Li4 0.142 0.500 0.127
Li5 0.213 0.000 0.047
Li6 0.213 0.500 0.547
Li7 0.250 0.000 0.250
Mn1 0.000 0.000 0.000
Mn2 0.000 0.500 0.500
Mn3 0.088 0.500 0.915
Mn4 0.089 0.000 0.415
Mn5 0.175 0.000 0.832
Mn6 0.176 0.500 0.332
O1 0.017 0.000 0.596
O2 0.017 0.500 0.096
O3 0.077 0.000 0.820
O4 0.077 0.500 0.320
O5 0.107 0.000 0.011
O6 0.107 0.500 0.511
O7 0.151 0.000 0.237
O8 0.151 0.500 0.737
O9 0.189 0.000 0.424
O10 0.189 0.500 0.924
O11 0.238 0.000 0.647
O12 0.238 0.500 0.147
```

The 10 most intense peaks (2θ = 5–70°), low angle first:
- d 7.317, 12.10 deg, intensity 8, (2 0 -2)
- d 4.858, 18.26 deg, intensity 100, (2 0 2)
- d 2.803, 31.93 deg, intensity 8, (8 0 -2)
- d 2.648, 33.85 deg, intensity 14, (8 0 -4)
- d 2.475, 36.30 deg, intensity 23, (3 1 -3)
- d 2.226, 40.53 deg, intensity 32, (10 0 -2)
- d 2.043, 44.34 deg, intensity 57, (1 1 -5)
- d 1.580, 58.41 deg, intensity 9, (1 1 7)
- d 1.507, 61.52 deg, intensity 13, (11 1 -7)
- d 1.503, 61.74 deg, intensity 15, (9 1 3)